# 1
Calculated powder diffractogram of LiCoP3O9 for Cu Ka, from a cell relaxed with GGA+U.

Atomic structure:
Unit cell a=5.163 b=12.076 c=13.208 alpha=90.00 beta=90.00 gamma=90.00
Sites, in units of the cell vectors:
Li1 0.008 0.003 0.250
Li2 0.008 0.497 0.750
Li3 0.992 0.503 0.250
Li4 0.992 0.997 0.750
Co1 0.000 0.000 0.000
Co2 0.000 0.000 0.500
Co3 0.000 0.500 0.000
Co4 0.000 0.500 0.500
P1 0.245 0.250 0.000
P2 0.245 0.250 0.500
P3 0.495 0.089 0.139
P4 0.495 0.089 0.361
P5 0.495 0.411 0.639
P6 0.495 0.411 0.861
P7 0.505 0.589 0.139
P8 0.505 0.589 0.361
P9 0.505 0.911 0.639
P10 0.505 0.911 0.861
P11 0.755 0.750 0.000
P12 0.755 0.750 0.500
O1 0.100 0.156 0.548
O2 0.100 0.156 0.952
O3 0.100 0.344 0.048
O4 0.100 0.344 0.452
O5 0.225 0.554 0.133
O6 0.225 0.554 0.367
O7 0.225 0.946 0.633
O8 0.225 0.946 0.867
O9 0.287 0.005 0.115
O10 0.287 0.005 0.385
O11 0.287 0.495 0.615
O12 0.287 0.495 0.885
O13 0.436 0.137 0.250
O14 0.436 0.363 0.750
O15 0.457 0.202 0.079
O16 0.457 0.202 0.421
O17 0.457 0.298 0.579
O18 0.457 0.298 0.921
O19 0.543 0.702 0.079
O20 0.543 0.702 0.421
O21 0.543 0.798 0.579
O22 0.543 0.798 0.921
O23 0.564 0.637 0.250
O24 0.564 0.863 0.750
O25 0.713 0.505 0.115
O26 0.713 0.505 0.385
O27 0.713 0.995 0.615
O28 0.713 0.995 0.885
O29 0.775 0.054 0.133
O30 0.775 0.054 0.367
O31 0.775 0.446 0.633
O32 0.775 0.446 0.867
O33 0.900 0.656 0.548
O34 0.900 0.656 0.952
O35 0.900 0.844 0.048
O36 0.900 0.844 0.452

The 12 most intense peaks (10 to 90 degrees two-theta), by angle:
13.41°, 6.604 Å, rel. 100
14.67°, 6.038 Å, rel. 44
16.14°, 5.492 Å, rel. 72
18.69°, 4.747 Å, rel. 23
21.85°, 4.067 Å, rel. 41
23.07°, 3.855 Å, rel. 20
23.65°, 3.762 Å, rel. 48
26.42°, 3.373 Å, rel. 26
32.18°, 2.782 Å, rel. 35
32.61°, 2.746 Å, rel. 19
35.53°, 2.527 Å, rel. 20
47.16°, 1.927 Å, rel. 22


# 2
Calculated powder diffractogram of LiCoP4O12 for Cu Ka, from a cell relaxed with GGA+U.

Atomic structure:
Unit cell a=8.413 b=8.413 c=7.664 alpha=97.00 beta=97.00 gamma=110.95
Sites, in units of the cell vectors:
Li1 0.149 0.851 0.500
Li2 0.851 0.149 0.000
Co1 0.216 0.483 0.031
Co2 0.483 0.216 0.531
P1 0.108 0.779 0.887
P2 0.142 0.293 0.617
P3 0.293 0.142 0.117
P4 0.392 0.547 0.448
P5 0.547 0.392 0.948
P6 0.591 0.914 0.632
P7 0.779 0.108 0.387
P8 0.914 0.591 0.132
O1 0.056 0.762 0.693
O2 0.082 0.336 0.788
O3 0.181 0.983 0.967
O4 0.194 0.261 0.122
O5 0.223 0.467 0.537
O6 0.237 0.705 0.959
O7 0.261 0.194 0.622
O8 0.336 0.082 0.288
O9 0.341 0.607 0.281
O10 0.427 0.489 0.936
O11 0.444 0.978 0.585
O12 0.467 0.223 0.037
O13 0.489 0.427 0.436
O14 0.505 0.707 0.601
O15 0.607 0.341 0.781
O16 0.699 0.979 0.811
O17 0.705 0.237 0.459
O18 0.707 0.505 0.101
O19 0.708 0.939 0.478
O20 0.762 0.056 0.193
O21 0.939 0.708 0.978
O22 0.978 0.444 0.085
O23 0.979 0.699 0.311
O24 0.983 0.181 0.467

The 12 most intense peaks (10 to 90 degrees two-theta), by angle:
11.45°, 7.731 Å, rel. 100
14.93°, 5.933 Å, rel. 35
17.44°, 5.086 Å, rel. 22
17.91°, 4.954 Å, rel. 59
19.06°, 4.657 Å, rel. 36
23.77°, 3.743 Å, rel. 30
23.95°, 3.716 Å, rel. 76
25.71°, 3.466 Å, rel. 52
28.31°, 3.152 Å, rel. 23
33.79°, 2.653 Å, rel. 32
34.75°, 2.582 Å, rel. 19
38.72°, 2.325 Å, rel. 23


# 3
Calculated powder diffractogram of LiCoP2O7 for Cu Ka, from a cell relaxed with GGA+U.

Atomic structure:
Unit cell a=8.205 b=4.927 c=12.997 alpha=90.00 beta=115.67 gamma=90.00
Sites, in units of the cell vectors:
Li1 0.069 0.229 0.203
Li2 0.069 0.271 0.703
Li3 0.931 0.729 0.297
Li4 0.931 0.771 0.797
Co1 0.227 0.238 0.965
Co2 0.227 0.262 0.465
Co3 0.773 0.738 0.535
Co4 0.773 0.762 0.035
P1 0.195 0.731 0.114
P2 0.195 0.769 0.614
P3 0.337 0.741 0.361
P4 0.337 0.759 0.861
P5 0.663 0.241 0.139
P6 0.663 0.259 0.639
P7 0.805 0.231 0.386
P8 0.805 0.269 0.886
O1 0.025 0.666 0.625
O2 0.025 0.834 0.125
O3 0.183 0.075 0.586
O4 0.183 0.425 0.086
O5 0.193 0.553 0.863
O6 0.193 0.947 0.363
O7 0.251 0.603 0.537
O8 0.251 0.897 0.037
O9 0.255 0.050 0.844
O10 0.255 0.450 0.344
O11 0.351 0.716 0.741
O12 0.351 0.784 0.241
O13 0.479 0.214 0.547
O14 0.479 0.286 0.047
O15 0.521 0.714 0.953
O16 0.521 0.786 0.453
O17 0.649 0.216 0.759
O18 0.649 0.284 0.259
O19 0.745 0.550 0.656
O20 0.745 0.950 0.156
O21 0.749 0.103 0.963
O22 0.749 0.397 0.463
O23 0.807 0.053 0.637
O24 0.807 0.447 0.137
O25 0.817 0.575 0.914
O26 0.817 0.925 0.414
O27 0.975 0.166 0.875
O28 0.975 0.334 0.375

The 12 most intense peaks (10 to 90 degrees two-theta), by angle:
15.13°, 5.857 Å, rel. 46
23.30°, 3.817 Å, rel. 100
24.07°, 3.697 Å, rel. 62
28.72°, 3.109 Å, rel. 9
33.04°, 2.711 Å, rel. 32
33.81°, 2.651 Å, rel. 14
36.47°, 2.463 Å, rel. 21
37.62°, 2.391 Å, rel. 12
41.96°, 2.153 Å, rel. 10
45.98°, 1.974 Å, rel. 9
58.22°, 1.585 Å, rel. 8
66.42°, 1.408 Å, rel. 10


# 4
Calculated powder diffractogram of Li2CoP2O7 for Cu Ka, from a cell relaxed with GGA+U.

Atomic structure:
Unit cell a=5.170 b=7.227 c=8.224 alpha=66.01 beta=86.36 gamma=82.04
Sites, in units of the cell vectors:
Li1 0.000 0.000 0.000
Li2 0.007 0.953 0.571
Li3 0.409 0.687 0.558
Li4 0.417 0.647 0.134
Co1 0.525 0.089 0.292
Co2 0.883 0.555 0.844
P1 0.440 0.278 0.869
P2 0.485 0.959 0.741
P3 0.932 0.683 0.390
P4 0.978 0.363 0.262
O1 0.033 0.670 0.568
O2 0.113 0.781 0.235
O3 0.144 0.291 0.904
O4 0.275 0.354 0.226
O5 0.305 0.860 0.896
O6 0.382 0.971 0.563
O7 0.490 0.194 0.711
O8 0.540 0.488 0.782
O9 0.604 0.129 0.029
O10 0.645 0.779 0.358
O11 0.773 0.865 0.771
O12 0.814 0.514 0.103
O13 0.881 0.152 0.345
O14 0.926 0.447 0.420

The 12 most intense peaks (10 to 90 degrees two-theta), by angle:
13.91°, 6.369 Å, rel. 64
20.65°, 4.301 Å, rel. 100
23.33°, 3.813 Å, rel. 63
23.68°, 3.757 Å, rel. 93
26.96°, 3.308 Å, rel. 30
28.39°, 3.144 Å, rel. 44
29.60°, 3.018 Å, rel. 17
32.46°, 2.758 Å, rel. 17
32.74°, 2.735 Å, rel. 28
35.04°, 2.561 Å, rel. 35
36.09°, 2.489 Å, rel. 25
37.99°, 2.368 Å, rel. 41